[1]
Starting from a GGA-PBE-relaxed structure, the powder diffraction line list of NaFeBr4 was simulated for Cu Kα X-rays.

Peak list (6 most intense, 10° ≤ 2θ ≤ 90°, sorted by position)
2θ 16.9, rel. 48.6; 2θ 26.1, rel. 100.0; 2θ 26.6, rel. 33.9; 2θ 27.5, rel. 56.2; 2θ 46.3, rel. 42.8; 2θ 49.7, rel. 35.3

Lattice parameters (Å, degrees): 14.2869 7.7597 7.6819 90.00 90.00 90.00
Sites, in units of the cell vectors:
Na: 0.1513 0.2500 0.0508
Na: 0.3487 0.7500 0.5508
Na: 0.6513 0.2500 0.4492
Na: 0.8487 0.7500 0.9492
Fe: 0.1025 0.7500 0.7972
Fe: 0.3975 0.2500 0.2972
Fe: 0.6025 0.7500 0.7028
Fe: 0.8975 0.2500 0.2028
Br: 0.0332 0.2500 0.3746
Br: 0.0558 0.7500 0.0914
Br: 0.1964 0.5050 0.7362
Br: 0.1964 0.9950 0.7362
Br: 0.3036 0.0050 0.2362
Br: 0.3036 0.4950 0.2362
Br: 0.4442 0.2500 0.5914
Br: 0.4668 0.7500 0.8746
Br: 0.5332 0.2500 0.1254
Br: 0.5558 0.7500 0.4086
Br: 0.6964 0.5050 0.7638
Br: 0.6964 0.9950 0.7638
Br: 0.8036 0.0050 0.2638
Br: 0.8036 0.4950 0.2638
Br: 0.9442 0.2500 0.9086
Br: 0.9668 0.7500 0.6254

[2]
Starting from a GGA-PBE-relaxed structure, the powder diffraction line list of BiPO4 was simulated for Cu Kα X-rays.

Peak list (6 most intense, 10° ≤ 2θ ≤ 90°, sorted by position)
2θ 18.6, rel. 79.0; 2θ 22.3, rel. 85.0; 2θ 24.5, rel. 100.0; 2θ 25.2, rel. 90.8; 2θ 30.3, rel. 93.5; 2θ 39.8, rel. 82.5

Lattice parameters (Å, degrees): 4.7820 4.7820 7.2672 90.00 90.00 84.77
Sites, in units of the cell vectors:
Bi: 0.1330 0.8670 0.7500
Bi: 0.8670 0.1330 0.2500
P: 0.3406 0.6594 0.2500
P: 0.6594 0.3406 0.7500
O: 0.1869 0.8131 0.0829
O: 0.1869 0.8131 0.4171
O: 0.3080 0.3410 0.2500
O: 0.3410 0.3080 0.7500
O: 0.6590 0.6920 0.2500
O: 0.6920 0.6590 0.7500
O: 0.8131 0.1869 0.5829
O: 0.8131 0.1869 0.9171

Question: What is the formula in the first record?
Answer: NaFeBr4

Question: Which formula does entry 1 have?
Answer: NaFeBr4

Copy entry 2 word for word.
Starting from a GGA-PBE-relaxed structure, the powder diffraction line list of BiPO4 was simulated for Cu Kα X-rays.

Peak list (6 most intense, 10° ≤ 2θ ≤ 90°, sorted by position)
2θ 18.6, rel. 79.0; 2θ 22.3, rel. 85.0; 2θ 24.5, rel. 100.0; 2θ 25.2, rel. 90.8; 2θ 30.3, rel. 93.5; 2θ 39.8, rel. 82.5

Lattice parameters (Å, degrees): 4.7820 4.7820 7.2672 90.00 90.00 84.77
Sites, in units of the cell vectors:
Bi: 0.1330 0.8670 0.7500
Bi: 0.8670 0.1330 0.2500
P: 0.3406 0.6594 0.2500
P: 0.6594 0.3406 0.7500
O: 0.1869 0.8131 0.0829
O: 0.1869 0.8131 0.4171
O: 0.3080 0.3410 0.2500
O: 0.3410 0.3080 0.7500
O: 0.6590 0.6920 0.2500
O: 0.6920 0.6590 0.7500
O: 0.8131 0.1869 0.5829
O: 0.8131 0.1869 0.9171